This entry pairs a crystal structure of Sr2FeMoNO5 with its calculated powder diffractogram. Radiation: copper Kα. Structure: a cell relaxed with PBE+U.

The 12 most intense peaks (2θ from 10° to 90°), low angle first:
hkl 2 0 0, 31.3°, I 100; hkl 2 0 -2, 31.5°, I 33; hkl 2 2 -1, 31.8°, I 59; hkl 0 0 2, 44.3°, I 21; hkl 0 4 0, 45.4°, I 22; hkl 4 0 -2, 45.7°, I 21; hkl 2 2 1, 55.4°, I 13; hkl 2 2 -3, 55.7°, I 13; hkl 4 2 -1, 56.2°, I 26; hkl 2 4 -2, 56.4°, I 12; hkl 4 2 -3, 56.6°, I 13; hkl 4 4 -2, 66.4°, I 12

Crystal structure
Cell: 7.9382 7.9825 5.6746 Å, 90.00 133.90 90.00°
Space group Cm (No. 8)
Inequivalent atoms, fractional coordinates:
Sr (0.0000, 0.2498, 0.0000)
Fe (0.4925, 0.0000, 0.4954)
Mo (0.0059, 0.0000, 0.5140)
N (0.2437, 0.0000, 0.9466)
O (0.1866, 0.0000, 0.3927)
O (0.1877, 0.5000, 0.9554)
O (0.2560, 0.5000, 0.5130)
O (0.4689, 0.2549, 0.4461)